Simulated powder X-ray diffraction pattern
Compound: Tb2Ce2Ir3
Radiation: Cu Kα
Structure: the GGA-PBE geometry in Alexandria
Neutral-atom scattering factors, no anomalous dispersion.

Peak list (10 most intense, 2θ from 15° to 90°, in order of rising 2θ)
two_theta  I/Imax
25.1  10
32.6  100
38.8  52
46.8  17
49.3  13
51.6  11
53.9  25
66.4  26
70.3  11
81.6  21

a b c (Å): 7.5117 7.5117 7.5117
angles (deg): 109.47 109.47 109.47
Element x y z (fractional)
Tb: 0.0000 0.8741 0.5000
Tb: 0.5000 0.0000 0.8741
Tb: 0.6259 0.6259 0.6259
Tb: 0.8741 0.5000 0.0000
Ce: 0.0000 0.3815 0.5000
Ce: 0.1185 0.1185 0.1185
Ce: 0.3815 0.5000 0.0000
Ce: 0.5000 0.0000 0.3815
Ir: 0.1222 0.7500 0.8722
Ir: 0.2500 0.6278 0.3778
Ir: 0.3778 0.2500 0.6278
Ir: 0.6278 0.3778 0.2500
Ir: 0.7500 0.8722 0.1222
Ir: 0.8722 0.1222 0.7500